This entry pairs a crystal structure of PuRu3C with its theoretical PXRD pattern. Radiation: Cu Kα. Structure: a DFT-relaxed cell (PBE, the Materials Project).
Lines closer than 0.1° are merged.

Largest 10 diffraction maxima, in order of falling intensity, 10° ≤ 2θ ≤ 80°:
Position (°2θ)	I/Imax
37.4	100
43.4	53
75.7	39
63.1	35
30.3	18
21.3	14
79.7	12
48.9	8
53.9	8
67.4	4

Structure:
a b c (Å): 4.1671 4.1671 4.1671
angles (deg): 90.00 90.00 90.00
Atoms (fractional coordinates):
Pu (0.0000, 0.0000, 0.0000)
Ru (0.0000, 0.5000, 0.5000)
Ru (0.5000, 0.0000, 0.5000)
Ru (0.5000, 0.5000, 0.0000)
C (0.5000, 0.5000, 0.5000)

This entry pairs a crystal structure of PuTaC2 with its theoretical PXRD pattern. Radiation: Cu Kα. Structure: a DFT-relaxed cell (PBE, the Materials Project).
Lines closer than 0.1° are merged.

Largest 10 diffraction maxima, in order of falling intensity, 10° ≤ 2θ ≤ 80°:
Position (°2θ)	I/Imax
33.3	100
38.3	85
31.9	40
54.3	31
66.1	30
56.2	28
64.4	16
70.0	15
66.9	14
66.8	5

Structure:
a b c (Å): 3.2752 3.2752 16.8096
angles (deg): 90.00 90.00 120.00
Atoms (fractional coordinates):
Pu (0.0000, 0.0000, 0.0000)
Pu (0.3333, 0.6667, 0.6667)
Pu (0.6667, 0.3333, 0.3333)
Ta (0.0000, 0.0000, 0.5000)
Ta (0.3333, 0.6667, 0.1667)
Ta (0.6667, 0.3333, 0.8333)
C (0.0000, 0.0000, 0.2412)
C (0.0000, 0.0000, 0.7588)
C (0.3333, 0.6667, 0.4255)
C (0.3333, 0.6667, 0.9079)
C (0.6667, 0.3333, 0.0921)
C (0.6667, 0.3333, 0.5745)

This entry pairs a crystal structure of PuU3W4C6 with its theoretical PXRD pattern. Radiation: Cu Kα. Structure: a DFT-relaxed cell (PBE, the Materials Project).
Lines closer than 0.1° are merged.

Largest 10 diffraction maxima, in order of falling intensity, 10° ≤ 2θ ≤ 80°:
Position (°2θ)	I/Imax
34.8	100
38.3	77
32.2	58
33.0	53
40.8	27
57.7	22
64.8	21
50.1	15
68.2	14
58.3	14

Structure:
a b c (Å): 5.5730 3.1664 11.4236
angles (deg): 90.00 103.25 90.00
Atoms (fractional coordinates):
Pu (0.0000, 0.0000, 0.0000)
U (0.0360, 0.5000, 0.7092)
U (0.4961, 0.5000, 0.4996)
U (0.5342, 0.0000, 0.2084)
W (0.0475, 0.5000, 0.2586)
W (0.4890, 0.5000, 0.9478)
W (0.5519, 0.0000, 0.7537)
W (0.9799, 0.0000, 0.4503)
C (0.2637, 0.0000, 0.6027)
C (0.2665, 0.0000, 0.8563)
C (0.2715, 0.0000, 0.3508)
C (0.7570, 0.5000, 0.3568)
C (0.7586, 0.5000, 0.1063)
C (0.7694, 0.5000, 0.8480)

This entry pairs a crystal structure of Pu2W2C3 with its theoretical PXRD pattern. Radiation: Cu Kα. Structure: a DFT-relaxed cell (PBE, the Materials Project).
Lines closer than 0.1° are merged.

Largest 10 diffraction maxima, in order of falling intensity, 10° ≤ 2θ ≤ 80°:
Position (°2θ)	I/Imax
34.9	100
36.2	90
31.5	59
32.6	46
56.1	44
34.3	31
30.1	28
36.9	21
49.9	20
43.8	18

Structure:
a b c (Å): 11.9835 3.2845 5.6979
angles (deg): 90.00 113.38 90.00
Atoms (fractional coordinates):
Pu (0.1056, 0.0000, 0.3091)
Pu (0.3944, 0.5000, 0.6909)
Pu (0.6056, 0.5000, 0.3091)
Pu (0.8944, 0.0000, 0.6909)
W (0.1563, 0.5000, 0.8268)
W (0.3437, 0.0000, 0.1732)
W (0.6563, 0.0000, 0.8268)
W (0.8437, 0.5000, 0.1732)
C (0.0000, 0.5000, 0.5000)
C (0.2493, 0.0000, 0.7560)
C (0.2507, 0.5000, 0.2440)
C (0.5000, 0.0000, 0.5000)
C (0.7493, 0.5000, 0.7560)
C (0.7507, 0.0000, 0.2440)

This entry pairs a crystal structure of PuWC2 with its theoretical PXRD pattern. Radiation: Cu Kα. Structure: a DFT-relaxed cell (PBE, the Materials Project).
Lines closer than 0.1° are merged.

Largest 10 diffraction maxima, in order of falling intensity, 10° ≤ 2θ ≤ 80°:
Position (°2θ)	I/Imax
35.5	100
32.5	52
40.2	33
32.8	33
56.6	20
60.3	17
66.1	15
61.9	13
52.8	13
55.9	11

Structure:
a b c (Å): 5.6983 3.2918 10.9360
angles (deg): 90.00 90.00 90.00
Atoms (fractional coordinates):
Pu (0.0850, 0.2500, 0.1397)
Pu (0.4150, 0.7500, 0.6397)
Pu (0.5850, 0.2500, 0.3603)
Pu (0.9150, 0.7500, 0.8603)
W (0.0869, 0.7500, 0.3931)
W (0.4131, 0.2500, 0.8931)
W (0.5869, 0.7500, 0.1069)
W (0.9131, 0.2500, 0.6069)
C (0.1617, 0.2500, 0.7546)
C (0.2361, 0.2500, 0.4893)
C (0.2639, 0.7500, 0.9893)
C (0.3383, 0.7500, 0.2546)
C (0.6617, 0.2500, 0.7454)
C (0.7361, 0.2500, 0.0107)
C (0.7639, 0.7500, 0.5107)
C (0.8383, 0.7500, 0.2454)

This entry pairs a crystal structure of Pu2W2C3 with its theoretical PXRD pattern. Radiation: Cu Kα. Structure: a DFT-relaxed cell (PBE, the Materials Project).
Lines closer than 0.1° are merged.

Largest 10 diffraction maxima, in order of falling intensity, 10° ≤ 2θ ≤ 80°:
Position (°2θ)	I/Imax
36.0	100
38.7	84
32.0	53
33.1	52
42.0	26
59.1	17
57.8	15
31.5	15
60.5	14
50.6	14

Structure:
a b c (Å): 11.6939 3.0592 5.5068
angles (deg): 90.00 107.00 90.00
Atoms (fractional coordinates):
Pu (0.1075, 0.0000, 0.3238)
Pu (0.3925, 0.5000, 0.6762)
Pu (0.6075, 0.5000, 0.3238)
Pu (0.8925, 0.0000, 0.6762)
W (0.1497, 0.5000, 0.8597)
W (0.3503, 0.0000, 0.1403)
W (0.6497, 0.0000, 0.8597)
W (0.8503, 0.5000, 0.1403)
C (0.0000, 0.5000, 0.0000)
C (0.2482, 0.0000, 0.7427)
C (0.2518, 0.5000, 0.2573)
C (0.5000, 0.0000, 0.0000)
C (0.7482, 0.5000, 0.7427)
C (0.7518, 0.0000, 0.2573)

This entry pairs a crystal structure of PuZr4C5 with its theoretical PXRD pattern. Radiation: Cu Kα. Structure: a DFT-relaxed cell (PBE, the Materials Project).
Lines closer than 0.1° are merged.

Largest 10 diffraction maxima, in order of falling intensity, 10° ≤ 2θ ≤ 80°:
Position (°2θ)	I/Imax
32.6	100
37.7	95
32.4	33
54.5	32
54.3	31
64.9	28
12.8	16
68.2	16
64.6	15
65.0	14

Structure:
a b c (Å): 13.9694 13.9694 13.9694
angles (deg): 13.84 13.84 13.84
Atoms (fractional coordinates):
Pu (0.0000, 0.0000, 0.0000)
Zr (0.1991, 0.1991, 0.1991)
Zr (0.4028, 0.4028, 0.4028)
Zr (0.5972, 0.5972, 0.5972)
Zr (0.8009, 0.8009, 0.8009)
C (0.1006, 0.1006, 0.1006)
C (0.2991, 0.2991, 0.2991)
C (0.5000, 0.5000, 0.5000)
C (0.7009, 0.7009, 0.7009)
C (0.8994, 0.8994, 0.8994)

This entry pairs a crystal structure of Rb4C with its theoretical PXRD pattern. Radiation: Cu Kα. Structure: a DFT-relaxed cell (PBE, the Materials Project).
Lines closer than 0.1° are merged.

Largest 10 diffraction maxima, in order of falling intensity, 10° ≤ 2θ ≤ 80°:
Position (°2θ)	I/Imax
22.1	100
35.2	63
21.9	62
27.0	60
31.5	45
47.6	25
38.7	24
45.0	23
53.1	19
63.4	18

Structure:
a b c (Å): 11.3563 11.3563 4.3423
angles (deg): 90.00 90.00 90.00
Atoms (fractional coordinates):
Rb (0.0000, 0.2326, 0.0000)
Rb (0.0000, 0.7674, 0.0000)
Rb (0.2326, 0.0000, 0.0000)
Rb (0.2674, 0.5000, 0.5000)
Rb (0.5000, 0.2674, 0.5000)
Rb (0.5000, 0.7326, 0.5000)
Rb (0.7326, 0.5000, 0.5000)
Rb (0.7674, 0.0000, 0.0000)
C (0.0000, 0.0000, 0.5000)
C (0.5000, 0.5000, 0.0000)

This entry pairs a crystal structure of Rb4C with its theoretical PXRD pattern. Radiation: Cu Kα. Structure: a DFT-relaxed cell (PBE, the Materials Project).
Lines closer than 0.1° are merged.

Largest 10 diffraction maxima, in order of falling intensity, 10° ≤ 2θ ≤ 80°:
Position (°2θ)	I/Imax
22.0	100
34.8	65
22.9	42
35.1	26
27.2	24
10.9	22
50.3	21
40.7	20
23.6	19
27.0	17

Structure:
a b c (Å): 4.0610 10.2210 13.2322
angles (deg): 90.00 90.00 90.00
Atoms (fractional coordinates):
Rb (0.0000, 0.0000, 0.1931)
Rb (0.0000, 0.0000, 0.8069)
Rb (0.0000, 0.2545, 0.0000)
Rb (0.0000, 0.7455, 0.0000)
Rb (0.5000, 0.2455, 0.5000)
Rb (0.5000, 0.5000, 0.3069)
Rb (0.5000, 0.5000, 0.6931)
Rb (0.5000, 0.7545, 0.5000)
C (0.0000, 0.5000, 0.5000)
C (0.5000, 0.0000, 0.0000)

This entry pairs a crystal structure of ReC with its theoretical PXRD pattern. Radiation: Cu Kα. Structure: a DFT-relaxed cell (PBE, the Materials Project).
Lines closer than 0.1° are merged.

Largest 8 diffraction maxima, in order of falling intensity, 10° ≤ 2θ ≤ 80°:
Position (°2θ)	I/Imax
35.9	100
48.6	95
31.7	43
73.7	25
77.7	22
64.6	21
76.2	12
66.2	7

Structure:
a b c (Å): 2.8865 2.8865 2.8245
angles (deg): 90.00 90.00 120.00
Atoms (fractional coordinates):
Re (0.0000, 0.0000, 0.0000)
C (0.3333, 0.6667, 0.5000)

This entry pairs a crystal structure of ReC with its theoretical PXRD pattern. Radiation: Cu Kα. Structure: a DFT-relaxed cell (PBE, the Materials Project).
Lines closer than 0.1° are merged.

Largest 5 diffraction maxima, in order of falling intensity, 10° ≤ 2θ ≤ 80°:
Position (°2θ)	I/Imax
33.2	100
47.6	92
79.3	35
59.3	27
69.6	15

Structure:
a b c (Å): 2.7007 2.7007 2.7007
angles (deg): 90.00 90.00 90.00
Atoms (fractional coordinates):
Re (0.0000, 0.0000, 0.0000)
C (0.5000, 0.5000, 0.5000)

This entry pairs a crystal structure of ReC with its theoretical PXRD pattern. Radiation: Cu Kα. Structure: a DFT-relaxed cell (PBE, the Materials Project).
Lines closer than 0.1° are merged.

Largest 10 diffraction maxima, in order of falling intensity, 10° ≤ 2θ ≤ 80°:
Position (°2θ)	I/Imax
36.7	100
43.3	70
31.6	62
54.6	39
35.8	36
73.5	35
48.5	34
64.3	31
69.1	15
76.4	12

Structure:
a b c (Å): 2.8963 2.8963 11.3173
angles (deg): 90.00 90.00 120.00
Atoms (fractional coordinates):
Re (0.3333, 0.6667, 0.1261)
Re (0.3333, 0.6667, 0.3739)
Re (0.6667, 0.3333, 0.6261)
Re (0.6667, 0.3333, 0.8739)
C (0.0000, 0.0000, 0.0000)
C (0.0000, 0.0000, 0.5000)
C (0.3333, 0.6667, 0.7500)
C (0.6667, 0.3333, 0.2500)